(1)
For Ac2BiAuO5, a cell relaxed with PBE gives the theoretical powder diffractogram in this record (Cu Kα).
Peak positions follow from Bragg's law for the DFT cell and can differ from measured ones.

Structure:
```
data_Ac2BiAuO5
_symmetry_space_group_name_H-M 'P 4/m b m'
_symmetry_Int_Tables_number 127
_symmetry_space_group_name_Hall '-P 4 2ab'
_cell_length_a 7.4440
_cell_length_b 7.4440
_cell_length_c 5.8399
_cell_angle_alpha 90.00
_cell_angle_beta 90.00
_cell_angle_gamma 90.00
loop_
_atom_site_label
_atom_site_type_symbol
_atom_site_fract_x
_atom_site_fract_y
_atom_site_fract_z
_atom_site_occupancy
Ac1 Ac 0.1794 0.3206 0.0000 1
Bi1 Bi 0.0000 0.0000 0.5000 1
Au1 Au 0.0000 0.5000 0.5000 1
O1 O 0.0000 0.0000 0.0000 1
O2 O 0.1272 0.6272 0.2401 1
```

Peak list (10 most intense, 10° ≤ 2θ ≤ 80°, most intense first)
index, 2θ (°), I/Imax
2 0 1, 28.44, 100
2 1 1, 30.92, 34
2 0 3, 53.09, 31
0 0 2, 30.62, 30
2 2 0, 34.07, 25
2 2 2, 46.45, 22
2 1 2, 41.12, 21
2 1 0, 26.78, 17
3 3 1, 54.62, 14
4 0 1, 51.54, 11

=====

(2)
For Ac2BiAuO6, a cell relaxed with PBE gives the theoretical powder diffractogram in this record (Cu Kα).
Peak positions follow from Bragg's law for the DFT cell and can differ from measured ones.

Structure:
```
data_Ac2BiAuO6
_symmetry_space_group_name_H-M 'P 4 m m'
_symmetry_Int_Tables_number 99
_symmetry_space_group_name_Hall 'P 4 -2'
_cell_length_a 5.4844
_cell_length_b 5.4844
_cell_length_c 6.2382
_cell_angle_alpha 90.00
_cell_angle_beta 90.00
_cell_angle_gamma 90.00
loop_
_atom_site_label
_atom_site_type_symbol
_atom_site_fract_x
_atom_site_fract_y
_atom_site_fract_z
_atom_site_occupancy
Ac1 Ac 0.0000 0.5000 0.0000 1
Bi1 Bi 0.0000 0.0000 0.5290 1
Au1 Au 0.5000 0.5000 0.6733 1
O1 O 0.0000 0.0000 0.1362 1
O2 O 0.2438 0.2438 0.7245 1
O3 O 0.5000 0.5000 0.1085 1
```

Peak list (10 most intense, 10° ≤ 2θ ≤ 80°, most intense first)
index, 2θ (°), I/Imax
1 1 1, 27.07, 100
2 0 0, 32.66, 38
3 1 1, 54.95, 30
2 0 2, 43.97, 21
0 0 1, 14.20, 19
2 2 0, 46.85, 19
1 1 2, 36.99, 17
0 0 2, 28.62, 12
1 0 2, 33.04, 11
1 0 1, 21.57, 10

=====

(3)
For AcBi2SbAu2, a cell relaxed with PBE gives the theoretical powder diffractogram in this record (Cu Kα).
Peak positions follow from Bragg's law for the DFT cell and can differ from measured ones.

Structure:
```
data_AcBi2SbAu2
_symmetry_space_group_name_H-M 'I 4/m m m'
_symmetry_Int_Tables_number 139
_symmetry_space_group_name_Hall '-I 4 2'
_cell_length_a 5.7278
_cell_length_b 5.7278
_cell_length_c 11.9257
_cell_angle_alpha 90.00
_cell_angle_beta 90.00
_cell_angle_gamma 90.00
loop_
_atom_site_label
_atom_site_type_symbol
_atom_site_fract_x
_atom_site_fract_y
_atom_site_fract_z
_atom_site_occupancy
Ac1 Ac 0.0000 0.0000 0.0000 1
Bi1 Bi 0.0000 0.5000 0.2500 1
Sb1 Sb 0.0000 0.0000 0.5000 1
Au1 Au 0.0000 0.0000 0.2599 1
```

Peak list (10 most intense, 10° ≤ 2θ ≤ 80°, most intense first)
index, 2θ (°), I/Imax
2 0 0, 31.23, 100
2 0 4, 43.83, 79
0 0 4, 29.97, 54
0 0 2, 14.86, 45
2 2 4, 54.80, 41
2 2 0, 44.75, 38
1 1 2, 26.61, 30
2 0 2, 34.75, 25
1 1 0, 21.95, 19
2 0 8, 71.33, 18

=====

(4)
For Ac6Co2AuBr3, a cell relaxed with PBE gives the theoretical powder diffractogram in this record (Cu Kα).
Peak positions follow from Bragg's law for the DFT cell and can differ from measured ones.

Structure:
```
data_Ac6Co2AuBr3
_symmetry_space_group_name_H-M 'C 1 2/m 1'
_symmetry_Int_Tables_number 12
_symmetry_space_group_name_Hall '-C 2y'
_cell_length_a 20.6741
_cell_length_b 4.3375
_cell_length_c 9.6915
_cell_angle_alpha 90.00
_cell_angle_beta 110.84
_cell_angle_gamma 90.00
loop_
_atom_site_label
_atom_site_type_symbol
_atom_site_fract_x
_atom_site_fract_y
_atom_site_fract_z
_atom_site_occupancy
Ac1 Ac 0.0212 0.0000 0.2410 1
Ac2 Ac 0.1634 0.5000 0.1305 1
Ac3 Ac 0.1824 0.5000 0.5507 1
Co1 Co 0.1679 0.0000 0.3365 1
Au1 Au 0.0000 0.5000 0.0000 1
Br1 Br 0.0000 0.5000 0.5000 1
Br2 Br 0.1653 0.0000 0.8360 1
```

Peak list (10 most intense, 10° ≤ 2θ ≤ 80°, most intense first)
index, 2θ (°), I/Imax
1 1 -2, 27.70, 100
2 0 -1, 10.75, 26
5 1 2, 41.33, 25
8 0 -1, 34.82, 21
7 1 -2, 37.77, 17
3 1 0, 24.75, 14
0 2 0, 41.64, 13
6 2 0, 50.75, 13
9 1 -3, 47.23, 10
2 0 -4, 37.43, 10

=====

(5)
For AcGaAuBr, a cell relaxed with PBE gives the theoretical powder diffractogram in this record (Cu Kα).
Peak positions follow from Bragg's law for the DFT cell and can differ from measured ones.

Structure:
```
data_AcGaAuBr
_symmetry_space_group_name_H-M 'R -3 m'
_symmetry_Int_Tables_number 166
_symmetry_space_group_name_Hall '-R 3 2"'
_cell_length_a 4.5738
_cell_length_b 4.5738
_cell_length_c 41.6515
_cell_angle_alpha 90.00
_cell_angle_beta 90.00
_cell_angle_gamma 120.00
loop_
_atom_site_label
_atom_site_type_symbol
_atom_site_fract_x
_atom_site_fract_y
_atom_site_fract_z
_atom_site_occupancy
Ac1 Ac 0.0000 0.0000 0.0807 1
Ga1 Ga 0.0000 0.0000 0.3082 1
Au1 Au 0.0000 0.0000 0.3709 1
Br1 Br 0.0000 0.0000 0.2073 1
```

Peak list (10 most intense, 10° ≤ 2θ ≤ 80°, most intense first)
index, 2θ (°), I/Imax
1 0 7, 27.04, 100
1 1 0, 39.40, 76
1 0 4, 24.04, 50
1 0 13, 36.06, 34
0 1 11, 32.72, 28
1 1 18, 56.58, 23
0 0 6, 12.75, 23
0 2 7, 48.44, 21
2 1 7, 64.14, 18
0 1 14, 37.82, 17

=====

(6)
For AcPrAuBr, a cell relaxed with PBE gives the theoretical powder diffractogram in this record (Cu Kα).
Peak positions follow from Bragg's law for the DFT cell and can differ from measured ones.

Structure:
```
data_AcPrAuBr
_symmetry_space_group_name_H-M 'F -4 3 m'
_symmetry_Int_Tables_number 216
_symmetry_space_group_name_Hall 'F -4 2 3'
_cell_length_a 7.7422
_cell_length_b 7.7422
_cell_length_c 7.7422
_cell_angle_alpha 90.00
_cell_angle_beta 90.00
_cell_angle_gamma 90.00
loop_
_atom_site_label
_atom_site_type_symbol
_atom_site_fract_x
_atom_site_fract_y
_atom_site_fract_z
_atom_site_occupancy
Ac1 Ac 0.0000 0.0000 0.0000 1
Pr1 Pr 0.0000 0.0000 0.5000 1
Au1 Au 0.2500 0.2500 0.2500 1
Br1 Br 0.2500 0.2500 0.7500 1
```

Peak list (10 most intense, 10° ≤ 2θ ≤ 80°, most intense first)
index, 2θ (°), I/Imax
2 2 0, 32.72, 100
4 2 2, 58.39, 39
4 0 0, 46.94, 18
6 2 0, 78.06, 17
4 4 0, 68.57, 12
1 1 1, 19.86, 10
3 1 1, 38.57, 6
3 3 1, 51.45, 3
5 1 1, 62.32, 2
5 3 1, 72.18, 2